Diffraction record for Na2HgS2O7. The powder X-ray diffraction pattern is theoretical, not measured: it uses a structure optimized by DFT (GGA-PBE) and a wavelength of 1.5418 Å.
Intensities are scaled so that the largest is 100.

Main lines, sorted by position (10 to 80 degrees two-theta):
2θ 13.33, I = 100, hkl 0 1 1; 2θ 14.17, I = 25, hkl 1 1 0; 2θ 18.66, I = 67, hkl 1 0 -2; 2θ 19.53, I = 50, hkl 1 1 1; 2θ 21.76, I = 25, hkl 0 1 2; 2θ 25.11, I = 39, hkl 2 1 -2; 2θ 29.10, I = 31, hkl 1 1 -3; 2θ 29.30, I = 42, hkl 1 3 0; 2θ 32.99, I = 43, hkl 2 2 1; 2θ 44.91, I = 26, hkl 4 0 0

Structure:
Lattice parameters (Å, degrees): 8.715 9.876 9.684 90.00 112.12 90.00
Sites, in units of the cell vectors:
Na: 0.013 0.012 0.190
Na: 0.013 0.488 0.690
Na: 0.315 0.239 0.869
Na: 0.315 0.261 0.369
Na: 0.685 0.739 0.631
Na: 0.685 0.761 0.131
Na: 0.987 0.512 0.310
Na: 0.987 0.988 0.810
Hg: 0.287 0.580 0.131
Hg: 0.287 0.920 0.631
Hg: 0.713 0.080 0.369
Hg: 0.713 0.420 0.869
S: 0.008 0.696 0.001
S: 0.008 0.804 0.501
S: 0.448 0.572 0.798
S: 0.448 0.928 0.298
S: 0.552 0.072 0.702
S: 0.552 0.428 0.202
S: 0.992 0.196 0.499
S: 0.992 0.304 0.999
O: 0.022 0.655 0.517
O: 0.022 0.845 0.017
O: 0.058 0.156 0.661
O: 0.058 0.344 0.161
O: 0.100 0.140 0.423
O: 0.100 0.360 0.923
O: 0.270 0.505 0.344
O: 0.270 0.995 0.844
O: 0.313 0.028 0.256
O: 0.313 0.472 0.756
O: 0.443 0.666 0.677
O: 0.443 0.834 0.177
O: 0.470 0.646 0.938
O: 0.470 0.854 0.438
O: 0.530 0.146 0.562
O: 0.530 0.354 0.062
O: 0.557 0.166 0.823
O: 0.557 0.334 0.323
O: 0.687 0.528 0.244
O: 0.687 0.972 0.744
O: 0.730 0.005 0.156
O: 0.730 0.495 0.656
O: 0.900 0.640 0.077
O: 0.900 0.860 0.577
O: 0.942 0.656 0.839
O: 0.942 0.844 0.339
O: 0.978 0.155 0.983
O: 0.978 0.345 0.483


Diffraction record for Na2HgPb. The powder X-ray diffraction pattern is theoretical, not measured: it uses a structure optimized by DFT (GGA-PBE) and a wavelength of 1.5418 Å.
Intensities are scaled so that the largest is 100.

Main lines, sorted by position (10 to 80 degrees two-theta):
2θ 18.12, I = 100, hkl 2 0 0; 2θ 20.49, I = 55, hkl 1 1 1; 2θ 32.54, I = 73, hkl 1 1 2; 2θ 32.79, I = 32, hkl 2 2 1; 2θ 33.12, I = 32, hkl 3 1 1; 2θ 35.81, I = 50, hkl 1 3 0; 2θ 36.71, I = 22, hkl 4 0 0; 2θ 37.20, I = 26, hkl 0 2 2; 2θ 41.67, I = 27, hkl 2 2 2; 2θ 41.94, I = 31, hkl 3 1 2

Structure:
Lattice parameters (Å, degrees): 9.791 7.781 6.169 90.00 90.00 90.00
Sites, in units of the cell vectors:
Na: 0.189 0.180 0.250
Na: 0.189 0.820 0.750
Na: 0.311 0.320 0.750
Na: 0.311 0.680 0.250
Na: 0.689 0.320 0.750
Na: 0.689 0.680 0.250
Na: 0.811 0.180 0.250
Na: 0.811 0.820 0.750
Hg: 0.000 0.500 0.000
Hg: 0.000 0.500 0.500
Hg: 0.500 0.000 0.000
Hg: 0.500 0.000 0.500
Pb: 0.000 0.161 0.750
Pb: 0.000 0.839 0.250
Pb: 0.500 0.339 0.250
Pb: 0.500 0.661 0.750


Diffraction record for NaPmHg2. The powder X-ray diffraction pattern is theoretical, not measured: it uses a structure optimized by DFT (GGA-PBE) and a wavelength of 1.5418 Å.
Intensities are scaled so that the largest is 100.

Main lines, sorted by position (10 to 80 degrees two-theta):
2θ 20.64, I = 11, hkl 1 1 1; 2θ 23.88, I = 19, hkl 2 0 0; 2θ 34.02, I = 100, hkl 2 2 0; 2θ 40.12, I = 6, hkl 3 1 1; 2θ 41.99, I = 6, hkl 2 2 2; 2θ 48.88, I = 18, hkl 4 0 0; 2θ 55.10, I = 9, hkl 4 2 0; 2θ 60.89, I = 38, hkl 4 2 2; 2θ 71.62, I = 12, hkl 4 4 0; 2θ 76.71, I = 4, hkl 6 0 0

Structure:
Lattice parameters (Å, degrees): 7.454 7.454 7.454 90.00 90.00 90.00
Sites, in units of the cell vectors:
Na: 0.000 0.000 0.000
Na: 0.000 0.500 0.500
Na: 0.500 0.000 0.500
Na: 0.500 0.500 0.000
Pm: 0.000 0.000 0.500
Pm: 0.000 0.500 0.000
Pm: 0.500 0.000 0.000
Pm: 0.500 0.500 0.500
Hg: 0.250 0.250 0.250
Hg: 0.250 0.250 0.750
Hg: 0.250 0.750 0.250
Hg: 0.250 0.750 0.750
Hg: 0.750 0.250 0.250
Hg: 0.750 0.250 0.750
Hg: 0.750 0.750 0.250
Hg: 0.750 0.750 0.750


Diffraction record for Na2HgS2. The powder X-ray diffraction pattern is theoretical, not measured: it uses a structure optimized by DFT (GGA-PBE) and a wavelength of 1.5418 Å.
Intensities are scaled so that the largest is 100.

Main lines, sorted by position (10 to 80 degrees two-theta):
2θ 15.20, I = 81, hkl 0 2 1; 2θ 19.32, I = 100, hkl 0 4 0; 2θ 23.77, I = 51, hkl 2 0 0; 2θ 26.46, I = 25, hkl 1 0 2; 2θ 28.34, I = 59, hkl 2 2 1; 2θ 30.83, I = 28, hkl 2 4 0; 2θ 33.02, I = 67, hkl 1 4 2; 2θ 33.81, I = 26, hkl 1 6 1; 2θ 39.04, I = 43, hkl 1 2 3; 2θ 48.00, I = 37, hkl 1 8 2

Structure:
Lattice parameters (Å, degrees): 7.487 18.353 7.543 90.00 90.00 90.00
Sites, in units of the cell vectors:
Na: 0.003 0.055 0.229
Na: 0.003 0.445 0.729
Na: 0.168 0.696 0.046
Na: 0.168 0.804 0.546
Na: 0.332 0.196 0.046
Na: 0.332 0.304 0.546
Na: 0.497 0.555 0.229
Na: 0.497 0.945 0.729
Na: 0.503 0.055 0.271
Na: 0.503 0.445 0.771
Na: 0.668 0.696 0.454
Na: 0.668 0.804 0.954
Na: 0.832 0.196 0.454
Na: 0.832 0.304 0.954
Na: 0.997 0.555 0.271
Na: 0.997 0.945 0.771
Hg: 0.227 0.111 0.651
Hg: 0.227 0.389 0.151
Hg: 0.273 0.611 0.651
Hg: 0.273 0.889 0.151
Hg: 0.727 0.111 0.849
Hg: 0.727 0.389 0.349
Hg: 0.773 0.611 0.849
Hg: 0.773 0.889 0.349
S: 0.197 0.179 0.388
S: 0.197 0.321 0.888
S: 0.244 0.549 0.923
S: 0.244 0.951 0.423
S: 0.256 0.049 0.923
S: 0.256 0.451 0.423
S: 0.303 0.679 0.388
S: 0.303 0.821 0.888
S: 0.697 0.179 0.112
S: 0.697 0.321 0.612
S: 0.744 0.549 0.577
S: 0.744 0.951 0.077
S: 0.756 0.049 0.577
S: 0.756 0.451 0.077
S: 0.803 0.679 0.112
S: 0.803 0.821 0.612


Diffraction record for NaSmHg2. The powder X-ray diffraction pattern is theoretical, not measured: it uses a structure optimized by DFT (GGA-PBE) and a wavelength of 1.5418 Å.
Intensities are scaled so that the largest is 100.

Main lines, sorted by position (10 to 80 degrees two-theta):
2θ 20.70, I = 11, hkl 1 1 1; 2θ 23.95, I = 18, hkl 2 0 0; 2θ 34.12, I = 100, hkl 2 2 0; 2θ 40.25, I = 6, hkl 3 1 1; 2θ 42.12, I = 6, hkl 2 2 2; 2θ 49.03, I = 18, hkl 4 0 0; 2θ 55.28, I = 8, hkl 4 2 0; 2θ 61.09, I = 38, hkl 4 2 2; 2θ 71.86, I = 12, hkl 4 4 0; 2θ 76.98, I = 4, hkl 6 0 0

Structure:
Lattice parameters (Å, degrees): 7.432 7.432 7.432 90.00 90.00 90.00
Sites, in units of the cell vectors:
Na: 0.000 0.000 0.000
Na: 0.000 0.500 0.500
Na: 0.500 0.000 0.500
Na: 0.500 0.500 0.000
Sm: 0.000 0.000 0.500
Sm: 0.000 0.500 0.000
Sm: 0.500 0.000 0.000
Sm: 0.500 0.500 0.500
Hg: 0.250 0.250 0.250
Hg: 0.250 0.250 0.750
Hg: 0.250 0.750 0.250
Hg: 0.250 0.750 0.750
Hg: 0.750 0.250 0.250
Hg: 0.750 0.250 0.750
Hg: 0.750 0.750 0.250
Hg: 0.750 0.750 0.750


Diffraction record for NaSrHg2. The powder X-ray diffraction pattern is theoretical, not measured: it uses a structure optimized by DFT (GGA-PBE) and a wavelength of 1.5418 Å.
Intensities are scaled so that the largest is 100.

Main lines, sorted by position (10 to 80 degrees two-theta):
2θ 19.71, I = 4, hkl 1 1 1; 2θ 22.80, I = 37, hkl 2 0 0; 2θ 32.46, I = 100, hkl 2 2 0; 2θ 40.04, I = 12, hkl 2 2 2; 2θ 46.57, I = 18, hkl 4 0 0; 2θ 52.46, I = 17, hkl 4 2 0; 2θ 57.91, I = 39, hkl 4 2 2; 2θ 67.98, I = 12, hkl 4 4 0; 2θ 72.74, I = 8, hkl 6 0 0; 2θ 77.37, I = 17, hkl 6 2 0

Structure:
Lattice parameters (Å, degrees): 7.801 7.801 7.801 90.00 90.00 90.00
Sites, in units of the cell vectors:
Na: 0.000 0.000 0.000
Na: 0.000 0.500 0.500
Na: 0.500 0.000 0.500
Na: 0.500 0.500 0.000
Sr: 0.000 0.000 0.500
Sr: 0.000 0.500 0.000
Sr: 0.500 0.000 0.000
Sr: 0.500 0.500 0.500
Hg: 0.250 0.250 0.250
Hg: 0.250 0.250 0.750
Hg: 0.250 0.750 0.250
Hg: 0.250 0.750 0.750
Hg: 0.750 0.250 0.250
Hg: 0.750 0.250 0.750
Hg: 0.750 0.750 0.250
Hg: 0.750 0.750 0.750